Simulated powder XRD pattern of PaI2 for Cu Ka, from the GGA-PBE geometry in OQMD.
No peak broadening, texture or thermal motion is included.

a b c (Å): 8.0359 8.0359 3.7966
angles (deg): 90.00 90.00 90.00
Space group P4_2/mnm (No. 136)
Inequivalent atoms, fractional coordinates:
Pa (0.0000, 0.0000, 0.0000) [2 per cell]
I (0.2213, 0.2213, 0.5000) [4 per cell]

Top 12 peaks for 2θ = 15–90°, by intensity:
15.59°, intensity 1000, (1 1 0)
34.36°, intensity 789, (2 1 1)
31.49°, intensity 687, (2 2 0)
28.27°, intensity 545, (1 1 1)
41.25°, intensity 421, (3 0 1)
25.96°, intensity 364, (1 0 1)
58.50°, intensity 322, (2 2 2)
67.43°, intensity 265, (5 2 1)
42.82°, intensity 264, (3 1 1)
45.13°, intensity 221, (4 0 0)
35.32°, intensity 210, (3 1 0)
62.78°, intensity 206, (4 3 1)